Structure and theoretical PXRD pattern of Er5Sn2 (a GGA-PBE-relaxed structure; Cu Kα (λ = 1.5418 Å)).
Intensities are scaled so that the largest is 100.

```
data_Er5Sn2
_chemical_formula_sum 'Er20 Sn8'
_space_group_name_H-M_alt 'C m c m'
_space_group_IT_number 63
_space_group_name_Hall '-C 2c 2'
_cell_length_a 4.5347
_cell_length_b 38.8621
_cell_length_c 4.5541
_cell_angle_alpha 90.00
_cell_angle_beta 90.00
_cell_angle_gamma 90.00
loop_
_atom_site_label
_atom_site_fract_x
_atom_site_fract_y
_atom_site_fract_z
Er1 0.0000 0.0352 0.2500
Er2 0.0000 0.1100 0.7500
Er3 0.0000 0.2500 0.2500
Er4 0.0000 0.3238 0.7500
Er5 0.0000 0.4639 0.2500
Sn1 0.0000 0.1904 0.7500
Sn2 0.0000 0.4042 0.7500
```

Main lines, by intensity (2θ from 10° to 90°):
(1 5 1), 30.1 deg, rel. 100
(1 9 1), 34.8 deg, rel. 97
(0 14 0), 32.2 deg, rel. 45
(0 0 2), 39.6 deg, rel. 33
(2 0 0), 39.8 deg, rel. 33
(0 14 2), 51.9 deg, rel. 24



Structure and theoretical PXRD pattern of Ac6HgIr4 (a GGA-PBE-relaxed structure; Cu Kα (λ = 1.5418 Å)).
Intensities are scaled so that the largest is 100.

```
data_Ac6HgIr4
_chemical_formula_sum 'Ac24 Hg4 Ir16'
_space_group_name_H-M_alt 'F m m 2'
_space_group_IT_number 42
_space_group_name_Hall 'F 2 -2'
_cell_length_a 8.8124
_cell_length_b 8.8141
_cell_length_c 16.9321
_cell_angle_alpha 90.00
_cell_angle_beta 90.00
_cell_angle_gamma 90.00
loop_
_atom_site_label
_atom_site_fract_x
_atom_site_fract_y
_atom_site_fract_z
Ac1 0.0000 0.2422 0.0000
Ac2 0.2422 0.0000 0.6412
Ac3 0.2500 0.2500 0.3205
Hg1 0.0000 0.0000 0.3212
Ir1 0.0000 0.2427 0.1830
Ir2 0.2430 0.0000 0.4582
```

Main lines, by intensity (2θ from 10° to 90°):
(2 2 2), 30.6 deg, rel. 100
(2 2 4), 35.8 deg, rel. 90
(4 0 0), 41.0 deg, rel. 68
(0 0 6), 31.7 deg, rel. 41
(4 0 6), 52.7 deg, rel. 40
(2 0 6), 37.9 deg, rel. 40



Please write out number 2 again, unchanged.
Structure and theoretical PXRD pattern of Ac6HgIr4 (a GGA-PBE-relaxed structure; Cu Kα (λ = 1.5418 Å)).
Intensities are scaled so that the largest is 100.

```
data_Ac6HgIr4
_chemical_formula_sum 'Ac24 Hg4 Ir16'
_space_group_name_H-M_alt 'F m m 2'
_space_group_IT_number 42
_space_group_name_Hall 'F 2 -2'
_cell_length_a 8.8124
_cell_length_b 8.8141
_cell_length_c 16.9321
_cell_angle_alpha 90.00
_cell_angle_beta 90.00
_cell_angle_gamma 90.00
loop_
_atom_site_label
_atom_site_fract_x
_atom_site_fract_y
_atom_site_fract_z
Ac1 0.0000 0.2422 0.0000
Ac2 0.2422 0.0000 0.6412
Ac3 0.2500 0.2500 0.3205
Hg1 0.0000 0.0000 0.3212
Ir1 0.0000 0.2427 0.1830
Ir2 0.2430 0.0000 0.4582
```

Main lines, by intensity (2θ from 10° to 90°):
(2 2 2), 30.6 deg, rel. 100
(2 2 4), 35.8 deg, rel. 90
(4 0 0), 41.0 deg, rel. 68
(0 0 6), 31.7 deg, rel. 41
(4 0 6), 52.7 deg, rel. 40
(2 0 6), 37.9 deg, rel. 40